Diffraction record for Pa4BiO10. The powder X-ray diffraction pattern is theoretical, not measured: it uses a PBE-relaxed structure and CuKα.

Largest 10 diffraction maxima, most intense first, 5 to 70 degrees two-theta:
(hkl)  2θ (°)  I/Imax
0 1 5  28.12  100
1 0 10  32.58  37
2 0 5  55.48  35
1 1 0  46.81  25
0 1 20  46.69  25
1 0 25  55.36  12
0 2 10  58.19  8
2 0 20  68.26  8
0 0 30  57.99  3
0 0 3  5.56  1

abc: 3.8818 3.8818 47.7103
angles: 90.00 90.00 120.00
Space group R-3m (No. 166, hexagonal axes)
Asymmetric unit:
1 Pa 0.0000 0.0000 0.0994 x6
2 Pa 0.0000 0.0000 0.3004 x6
3 Bi 0.0000 0.0000 0.5000 x3
4 O 0.0000 0.0000 0.0492 x6
5 O 0.0000 0.0000 0.1460 x6
6 O 0.0000 0.0000 0.2514 x6
7 O 0.0000 0.0000 0.3499 x6
8 O 0.0000 0.0000 0.4460 x6